Entry 1:
Mg2Sc5Pd2Pb: calculated powder diffraction line list (Cu Ka), based on a GGA-PBE-relaxed structure.
Peak positions follow from Bragg's law for the DFT cell and can differ from measured ones.

Principal peaks in the range 2θ = 10–90°, sorted by position:
2θ 15.6, intensity 34
2θ 17.5, intensity 43
2θ 24.8, intensity 37
2θ 33.7, intensity 22
2θ 35.4, intensity 25
2θ 35.5, intensity 100
2θ 38.2, intensity 25
2θ 40.6, intensity 17
2θ 48.3, intensity 16
2θ 52.4, intensity 14

Atomic structure:
Cell: 11.337 11.337 3.559 Å, 90.00 90.00 90.00°
Element x y z (fractional)
Mg  0.172  0.328  0.000
Mg  0.328  0.828  0.000
Mg  0.672  0.172  0.000
Mg  0.828  0.672  0.000
Sc  0.000  0.500  0.500
Sc  0.072  0.794  0.500
Sc  0.206  0.072  0.500
Sc  0.294  0.572  0.500
Sc  0.428  0.294  0.500
Sc  0.500  0.000  0.500
Sc  0.572  0.706  0.500
Sc  0.706  0.428  0.500
Sc  0.794  0.928  0.500
Sc  0.928  0.206  0.500
Pd  0.128  0.628  0.000
Pd  0.372  0.128  0.000
Pd  0.628  0.872  0.000
Pd  0.872  0.372  0.000
Pb  0.000  0.000  0.000
Pb  0.500  0.500  0.000

Entry 2:
Pm5Mg2Pb5: calculated powder diffraction line list (Cu Ka), based on a GGA-PBE-relaxed structure.
Peak positions follow from Bragg's law for the DFT cell and can differ from measured ones.

Principal peaks in the range 2θ = 10–90°, sorted by position:
2θ 26.5, intensity 14
2θ 26.9, intensity 58
2θ 29.8, intensity 100
2θ 32.9, intensity 48
2θ 33.2, intensity 22
2θ 35.7, intensity 20
2θ 37.8, intensity 26
2θ 38.3, intensity 36
2θ 47.4, intensity 17
2θ 51.6, intensity 15

Atomic structure:
Cell: 7.652 7.652 12.616 Å, 119.59 119.59 35.78°
Element x y z (fractional)
Pm  0.000  0.000  0.000
Pm  0.150  0.150  0.492
Pm  0.158  0.158  0.796
Pm  0.842  0.842  0.204
Pm  0.850  0.850  0.508
Mg  0.411  0.411  0.734
Mg  0.589  0.589  0.266
Pb  0.227  0.227  0.287
Pb  0.377  0.377  0.052
Pb  0.500  0.500  0.500
Pb  0.623  0.623  0.948
Pb  0.773  0.773  0.713

Entry 3:
Pm3MgPb4: calculated powder diffraction line list (Cu Ka), based on a GGA-PBE-relaxed structure.
Peak positions follow from Bragg's law for the DFT cell and can differ from measured ones.

Principal peaks in the range 2θ = 10–90°, sorted by position:
2θ 22.9, intensity 16
2θ 31.0, intensity 100
2θ 34.3, intensity 80
2θ 46.8, intensity 32
2θ 52.9, intensity 20
2θ 59.3, intensity 32
2θ 61.4, intensity 15
2θ 64.5, intensity 11
2θ 75.1, intensity 15
2θ 80.6, intensity 14

Atomic structure:
Cell: 10.442 10.442 10.442 Å, 29.03 29.03 29.03°
Element x y z (fractional)
Pm  0.000  0.000  0.000
Pm  0.242  0.242  0.242
Pm  0.758  0.758  0.758
Mg  0.500  0.500  0.500
Pb  0.125  0.125  0.125
Pb  0.375  0.375  0.375
Pb  0.625  0.625  0.625
Pb  0.875  0.875  0.875